Starting from the GGA+U geometry in Alexandria, the powder diffractogram of Rb2PmFe2O6 was calculated for Cu Kα, 1.54184 Å.

The 10 most intense peaks (2θ from 10° to 90°), low angle first:
2θ 19.16, intensity 16, (0 1 2)
2θ 25.62, intensity 29, (1 0 4)
2θ 28.76, intensity 100, (1 1 0)
2θ 29.59, intensity 86, (0 1 5)
2θ 38.89, intensity 28, (0 2 4)
2θ 41.74, intensity 31, (2 0 5)
2θ 50.96, intensity 20, (3 0 0)
2θ 51.48, intensity 34, (1 2 5)
2θ 54.04, intensity 28, (1 1 9)
2θ 59.57, intensity 20, (2 2 0)

Cell and atoms:
a = 6.2080 Å, b = 6.2080 Å, c = 18.2381 Å
α = 90.00°, β = 90.00°, γ = 120.00°
Space group R-3m (No. 166, hexagonal axes)
Asymmetric unit:
Rb1 0.0000 0.0000 0.2152 [6 per cell]
Pm1 0.0000 0.0000 0.0000 [3 per cell]
Fe1 0.0000 0.0000 0.4258 [6 per cell]
O1 0.0059 0.5030 0.2526 [18 per cell]